Record 1
Starting from DFT lattice parameters and positions (PBE), the X-ray powder pattern of CsPr6Te8 was computed for λ = 1.5418 Å (Cu Kα).

Crystal structure
Lattice parameters (Å, degrees): 12.2566 12.2566 4.6056 90.00 90.00 120.00
Fractional coordinates of all 15 atoms:
Cs: 0.0000 0.0000 0.0000
Pr: 0.1368 0.6526 0.7503
Pr: 0.3474 0.4842 0.7503
Pr: 0.4842 0.1368 0.2497
Pr: 0.5158 0.8632 0.7503
Pr: 0.6526 0.5158 0.2497
Pr: 0.8632 0.3474 0.2497
Te: 0.0470 0.3547 0.7499
Te: 0.3077 0.9530 0.7499
Te: 0.3333 0.6667 0.2502
Te: 0.3547 0.3077 0.2501
Te: 0.6453 0.6923 0.7499
Te: 0.6667 0.3333 0.7498
Te: 0.6923 0.0470 0.2501
Te: 0.9530 0.6453 0.2501

Most intense lines, 2θ = 10–90°, sorted by position:
2θ/deg, I/Imax, hkl
21.03, 28, 1 0 1
25.17, 45, 3 0 0
25.61, 41, 2 0 1
29.53, 100, 1 2 1
30.36, 46, 1 3 0
35.18, 89, 4 -2 1
39.13, 31, 0 0 2
41.97, 47, 2 3 1

=====

Record 2
Starting from DFT lattice parameters and positions (PBE), the X-ray powder pattern of Cs3Rb4Pt was computed for λ = 1.5418 Å (Cu Kα).

Crystal structure
Lattice parameters (Å, degrees): 8.4381 15.3699 9.3957 90.00 90.00 90.00
Fractional coordinates of all 16 atoms:
Cs: 0.2500 0.0323 0.1903
Cs: 0.2500 0.4677 0.1903
Cs: 0.2500 0.7500 0.5493
Cs: 0.7500 0.2500 0.4507
Cs: 0.7500 0.5323 0.8097
Cs: 0.7500 0.9677 0.8097
Rb: 0.0002 0.2500 0.0286
Rb: 0.9998 0.7500 0.9714
Rb: 0.2500 0.1139 0.6045
Rb: 0.2500 0.3861 0.6045
Rb: 0.4998 0.2500 0.0286
Rb: 0.5002 0.7500 0.9714
Rb: 0.7500 0.6139 0.3955
Rb: 0.7500 0.8861 0.3955
Pt: 0.2500 0.2500 0.3084
Pt: 0.7500 0.7500 0.6916

Most intense lines, 2θ = 10–90°, sorted by position:
2θ/deg, I/Imax, hkl
11.04, 92, 0 1 1
11.96, 77, 1 1 0
14.11, 79, 1 0 1
21.06, 72, 2 0 0
23.13, 100, 0 4 0
25.89, 96, 2 2 1
27.21, 75, 1 4 1
33.49, 80, 2 3 2